Structure and computed X-ray diffraction stick pattern of SrAl2S4 (a cell relaxed with GGA-PBE; Cu Kα (λ = 1.5418 Å)).
Intensities are scaled so that the largest is 100.

Crystal structure
```
data_SrAl2S4
_symmetry_space_group_name_H-M 'P 1'
_symmetry_Int_Tables_number 1
_symmetry_space_group_name_Hall 'P 1'
_cell_length_a 11.993
_cell_length_b 11.993
_cell_length_c 12.247
_cell_angle_alpha 104.74
_cell_angle_beta 104.74
_cell_angle_gamma 118.70
loop_
_atom_site_label
_atom_site_type_symbol
_atom_site_fract_x
_atom_site_fract_y
_atom_site_fract_z
Sr1 Sr 0.000 0.000 0.000
Sr2 Sr 0.000 0.496 0.005
Sr3 Sr 0.250 0.247 0.507
Sr4 Sr 0.255 0.748 0.506
Sr5 Sr 0.504 0.998 0.003
Sr6 Sr 0.507 0.499 0.009
Sr7 Sr 0.755 0.748 0.504
Sr8 Sr 0.758 0.251 0.510
Al1 Al 0.010 0.654 0.755
Al2 Al 0.018 0.158 0.754
Al3 Al 0.241 0.013 0.757
Al4 Al 0.248 0.518 0.760
Al5 Al 0.271 0.995 0.254
Al6 Al 0.348 0.493 0.259
Al7 Al 0.408 0.760 0.259
Al8 Al 0.483 0.260 0.255
Al9 Al 0.510 0.736 0.756
Al10 Al 0.516 0.240 0.758
Al11 Al 0.737 0.593 0.753
Al12 Al 0.745 0.093 0.756
Al13 Al 0.765 0.990 0.256
Al14 Al 0.846 0.490 0.253
Al15 Al 0.908 0.758 0.252
Al16 Al 0.982 0.260 0.254
S1 S 0.020 0.464 0.254
S2 S 0.038 0.977 0.756
S3 S 0.043 0.486 0.756
S4 S 0.063 0.960 0.252
S5 S 0.186 0.288 0.257
S6 S 0.217 0.816 0.759
S7 S 0.224 0.320 0.761
S8 S 0.230 0.784 0.251
S9 S 0.292 0.542 0.593
S10 S 0.301 0.047 0.092
S11 S 0.303 0.049 0.594
S12 S 0.303 0.549 0.098
S13 S 0.454 0.202 0.414
S14 S 0.455 0.201 0.917
S15 S 0.455 0.704 0.414
S16 S 0.457 0.708 0.919
S17 S 0.525 0.463 0.262
S18 S 0.534 0.933 0.752
S19 S 0.536 0.438 0.757
S20 S 0.565 0.962 0.253
S21 S 0.687 0.289 0.260
S22 S 0.715 0.772 0.759
S23 S 0.720 0.276 0.761
S24 S 0.733 0.792 0.258
S25 S 0.793 0.541 0.590
S26 S 0.796 0.548 0.096
S27 S 0.798 0.042 0.091
S28 S 0.799 0.047 0.591
S29 S 0.958 0.201 0.917
S30 S 0.962 0.712 0.918
S31 S 0.963 0.209 0.416
S32 S 0.963 0.713 0.419
```

Principal peaks in the range 2θ = 5–70°, low angle first:
2θ 16.86, intensity 48
2θ 23.82, intensity 96
2θ 29.81, intensity 34
2θ 30.45, intensity 35
2θ 31.00, intensity 37
2θ 33.80, intensity 36
2θ 34.09, intensity 14
2θ 38.18, intensity 100
2θ 38.82, intensity 24
2θ 45.67, intensity 21
2θ 49.70, intensity 14
2θ 58.31, intensity 18



Structure and computed X-ray diffraction stick pattern of LuOs2 (a cell relaxed with GGA-PBE; Cu Kα (λ = 1.5418 Å)).
Intensities are scaled so that the largest is 100.

Crystal structure
```
data_LuOs2
_symmetry_space_group_name_H-M 'P 63/m m c'
_symmetry_Int_Tables_number 194
_symmetry_space_group_name_Hall '-P 6c 2c'
_cell_length_a 5.2715
_cell_length_b 5.2715
_cell_length_c 8.7894
_cell_angle_alpha 90.00
_cell_angle_beta 90.00
_cell_angle_gamma 120.00
loop_
_atom_site_label
_atom_site_type_symbol
_atom_site_fract_x
_atom_site_fract_y
_atom_site_fract_z
Lu1 Lu 0.3333 0.6667 0.0658
Os1 Os 0.0000 0.0000 0.0000
Os2 Os 0.1725 0.3449 0.7500
```

Principal peaks in the range 2θ = 5–70°, low angle first:
2θ 34.01, intensity 26
2θ 36.44, intensity 74
2θ 39.48, intensity 10
2θ 39.88, intensity 100
2θ 40.84, intensity 93
2θ 41.08, intensity 22
2θ 44.74, intensity 24
2θ 45.83, intensity 14
2θ 62.46, intensity 26
2θ 64.84, intensity 25
2θ 67.22, intensity 33
2θ 69.23, intensity 13



Structure and computed X-ray diffraction stick pattern of Rb2NaCeI6 (a cell relaxed with GGA-PBE; Cu Kα (λ = 1.5418 Å)).
Intensities are scaled so that the largest is 100.

Crystal structure
```
data_Rb2NaCeI6
_symmetry_space_group_name_H-M 'F m -3 m'
_symmetry_Int_Tables_number 225
_symmetry_space_group_name_Hall '-F 4 2 3'
_cell_length_a 12.521
_cell_length_b 12.521
_cell_length_c 12.521
_cell_angle_alpha 90.00
_cell_angle_beta 90.00
_cell_angle_gamma 90.00
loop_
_atom_site_label
_atom_site_type_symbol
_atom_site_fract_x
_atom_site_fract_y
_atom_site_fract_z
Rb1 Rb 0.250 0.250 0.250
Na1 Na 0.000 0.000 0.000
Ce1 Ce 0.000 0.000 0.500
I1 I 0.000 0.000 0.251
```

Principal peaks in the range 2θ = 5–70°, low angle first:
2θ 12.24, intensity 11
2θ 14.15, intensity 26
2θ 24.63, intensity 95
2θ 28.51, intensity 100
2θ 31.97, intensity 14
2θ 40.77, intensity 75
2θ 43.36, intensity 8
2θ 48.21, intensity 45
2θ 50.50, intensity 27
2θ 59.02, intensity 12
2θ 64.92, intensity 18
2θ 66.83, intensity 34



Structure and computed X-ray diffraction stick pattern of HfMg14BiO16 (a cell relaxed with GGA-PBE; Cu Kα (λ = 1.5418 Å)).
Intensities are scaled so that the largest is 100.

Crystal structure
```
data_HfMg14BiO16
_symmetry_space_group_name_H-M 'P m m m'
_symmetry_Int_Tables_number 47
_symmetry_space_group_name_Hall '-P 2 2'
_cell_length_a 4.348
_cell_length_b 8.599
_cell_length_c 9.581
_cell_angle_alpha 90.00
_cell_angle_beta 90.00
_cell_angle_gamma 90.00
loop_
_atom_site_label
_atom_site_type_symbol
_atom_site_fract_x
_atom_site_fract_y
_atom_site_fract_z
Hf1 Hf 0.000 0.000 0.000
Mg1 Mg 0.000 0.255 0.255
Mg2 Mg 0.000 0.500 0.000
Mg3 Mg 0.000 0.500 0.500
Mg4 Mg 0.500 0.000 0.258
Mg5 Mg 0.500 0.259 0.000
Mg6 Mg 0.500 0.265 0.500
Mg7 Mg 0.500 0.500 0.247
Bi1 Bi 0.000 0.000 0.500
O1 O 0.000 0.000 0.207
O2 O 0.000 0.253 0.000
O3 O 0.000 0.277 0.500
O4 O 0.000 0.500 0.238
O5 O 0.500 0.000 0.000
O6 O 0.500 0.000 0.500
O7 O 0.500 0.249 0.253
O8 O 0.500 0.500 0.000
O9 O 0.500 0.500 0.500
```

Principal peaks in the range 2θ = 5–70°, low angle first:
2θ 10.29, intensity 100
2θ 18.52, intensity 33
2θ 21.23, intensity 45
2θ 22.92, intensity 38
2θ 27.88, intensity 26
2θ 29.63, intensity 44
2θ 34.81, intensity 59
2θ 37.56, intensity 61
2θ 41.54, intensity 38
2θ 42.03, intensity 36
2θ 57.23, intensity 27
2θ 57.62, intensity 29



Structure and computed X-ray diffraction stick pattern of MgFeCu2SnS4 (a cell relaxed with GGA-PBE; Cu Kα (λ = 1.5418 Å)).
Intensities are scaled so that the largest is 100.

Crystal structure
```
data_MgFeCu2SnS4
_symmetry_space_group_name_H-M 'P -4 2 m'
_symmetry_Int_Tables_number 111
_symmetry_space_group_name_Hall 'P -4 2'
_cell_length_a 5.502
_cell_length_b 5.502
_cell_length_c 6.031
_cell_angle_alpha 90.00
_cell_angle_beta 90.00
_cell_angle_gamma 90.00
loop_
_atom_site_label
_atom_site_type_symbol
_atom_site_fract_x
_atom_site_fract_y
_atom_site_fract_z
Mg1 Mg 0.000 0.000 0.000
Fe1 Fe 0.500 0.500 0.500
Cu1 Cu 0.000 0.500 0.000
Sn1 Sn 0.000 0.000 0.500
S1 S 0.279 0.279 0.779
```

Principal peaks in the range 2θ = 5–70°, low angle first:
2θ 16.11, intensity 6
2θ 27.28, intensity 100
2θ 29.62, intensity 9
2θ 32.55, intensity 15
2θ 33.90, intensity 7
2θ 44.58, intensity 53
2θ 46.70, intensity 23
2θ 51.15, intensity 16
2θ 54.92, intensity 26
2θ 56.28, intensity 7
2θ 61.51, intensity 6
2θ 68.18, intensity 6



Structure and computed X-ray diffraction stick pattern of GdCo12B6 (a cell relaxed with GGA-PBE; Cu Kα (λ = 1.5418 Å)).
Intensities are scaled so that the largest is 100.

Crystal structure
```
data_GdCo12B6
_symmetry_space_group_name_H-M 'R -3 m'
_symmetry_Int_Tables_number 166
_symmetry_space_group_name_Hall '-R 3 2"'
_cell_length_a 9.3933
_cell_length_b 9.3933
_cell_length_c 7.3934
_cell_angle_alpha 90.00
_cell_angle_beta 90.00
_cell_angle_gamma 120.00
loop_
_atom_site_label
_atom_site_type_symbol
_atom_site_fract_x
_atom_site_fract_y
_atom_site_fract_z
Gd1 Gd 0.0000 0.0000 0.0000
Co1 Co 0.0000 0.3676 0.5000
Co2 Co 0.0898 0.1796 0.3658
B1 B 0.0379 0.5189 0.2851
```

Principal peaks in the range 2θ = 5–70°, low angle first:
2θ 24.99, intensity 10
2θ 31.51, intensity 14
2θ 32.74, intensity 40
2θ 33.03, intensity 32
2θ 41.37, intensity 58
2θ 41.86, intensity 100
2θ 47.19, intensity 23
2θ 50.01, intensity 21
2θ 53.93, intensity 8
2θ 59.00, intensity 21
2θ 62.36, intensity 18
2θ 64.72, intensity 12



Structure and computed X-ray diffraction stick pattern of CeSi2Ni (a cell relaxed with GGA-PBE; Cu Kα (λ = 1.5418 Å)).
Intensities are scaled so that the largest is 100.

Crystal structure
```
data_CeSi2Ni
_symmetry_space_group_name_H-M 'C m c m'
_symmetry_Int_Tables_number 63
_symmetry_space_group_name_Hall '-C 2c 2'
_cell_length_a 4.103
_cell_length_b 16.280
_cell_length_c 4.055
_cell_angle_alpha 90.00
_cell_angle_beta 90.00
_cell_angle_gamma 90.00
loop_
_atom_site_label
_atom_site_type_symbol
_atom_site_fract_x
_atom_site_fract_y
_atom_site_fract_z
Ce1 Ce 0.000 0.106 0.250
Si1 Si 0.000 0.249 0.750
Si2 Si 0.000 0.460 0.250
Ni1 Ni 0.000 0.319 0.250
```

Principal peaks in the range 2θ = 5–70°, low angle first:
2θ 21.84, intensity 15
2θ 24.52, intensity 14
2θ 31.13, intensity 17
2θ 31.50, intensity 46
2θ 35.21, intensity 100
2θ 39.98, intensity 22
2θ 44.14, intensity 20
2θ 44.69, intensity 19
2θ 55.52, intensity 12
2θ 58.12, intensity 20
2θ 61.06, intensity 12
2θ 64.63, intensity 13



Structure and computed X-ray diffraction stick pattern of PdS3 (a cell relaxed with GGA-PBE; Cu Kα (λ = 1.5418 Å)).
Intensities are scaled so that the largest is 100.

Crystal structure
```
data_PdS3
_symmetry_space_group_name_H-M 'I 4/m m m'
_symmetry_Int_Tables_number 139
_symmetry_space_group_name_Hall '-I 4 2'
_cell_length_a 3.351
_cell_length_b 3.351
_cell_length_c 16.128
_cell_angle_alpha 90.00
_cell_angle_beta 90.00
_cell_angle_gamma 90.00
loop_
_atom_site_label
_atom_site_type_symbol
_atom_site_fract_x
_atom_site_fract_y
_atom_site_fract_z
Pd1 Pd 0.000 0.000 0.000
S1 S 0.000 0.000 0.500
S2 S 0.000 0.500 0.250
```

Principal peaks in the range 2θ = 5–70°, low angle first:
2θ 10.97, intensity 54
2θ 22.05, intensity 100
2θ 27.18, intensity 28
2θ 31.46, intensity 20
2θ 38.75, intensity 11
2θ 39.65, intensity 78
2θ 44.35, intensity 8
2θ 44.96, intensity 13
2θ 47.92, intensity 6
2θ 51.41, intensity 35
2θ 54.80, intensity 14
2θ 59.78, intensity 22



Structure and computed X-ray diffraction stick pattern of BaH2O3 (a cell relaxed with GGA-PBE; Cu Kα (λ = 1.5418 Å)).
Intensities are scaled so that the largest is 100.

Crystal structure
```
data_BaH2O3
_symmetry_space_group_name_H-M 'P m c 21'
_symmetry_Int_Tables_number 26
_symmetry_space_group_name_Hall 'P 2c -2'
_cell_length_a 4.024
_cell_length_b 6.146
_cell_length_c 6.773
_cell_angle_alpha 90.00
_cell_angle_beta 90.00
_cell_angle_gamma 90.00
loop_
_atom_site_label
_atom_site_type_symbol
_atom_site_fract_x
_atom_site_fract_y
_atom_site_fract_z
Ba1 Ba 0.000 0.164 0.000
H1 H 0.206 0.368 0.555
O1 O 0.000 0.283 0.601
O2 O 0.500 0.057 0.277
O3 O 0.500 0.471 0.996
```

Principal peaks in the range 2θ = 5–70°, low angle first:
2θ 14.41, intensity 38
2θ 19.50, intensity 100
2θ 22.09, intensity 51
2θ 26.32, intensity 50
2θ 29.63, intensity 72
2θ 31.98, intensity 42
2θ 34.62, intensity 47
2θ 36.80, intensity 23
2θ 37.67, intensity 37
2θ 39.21, intensity 59
2θ 42.66, intensity 21
2θ 48.55, intensity 24



Structure and computed X-ray diffraction stick pattern of K3NaRu2O8 (a cell relaxed with GGA-PBE; Cu Kα (λ = 1.5418 Å)).
Intensities are scaled so that the largest is 100.

Crystal structure
```
data_K3NaRu2O8
_symmetry_space_group_name_H-M 'P -3 m 1'
_symmetry_Int_Tables_number 164
_symmetry_space_group_name_Hall '-P 3 2"'
_cell_length_a 6.0813
_cell_length_b 6.0813
_cell_length_c 7.8011
_cell_angle_alpha 90.00
_cell_angle_beta 90.00
_cell_angle_gamma 120.00
loop_
_atom_site_label
_atom_site_type_symbol
_atom_site_fract_x
_atom_site_fract_y
_atom_site_fract_z
K1 K 0.0000 0.0000 0.0000
K2 K 0.3333 0.6667 0.6543
Na1 Na 0.0000 0.0000 0.5000
Ru1 Ru 0.3333 0.6667 0.2135
O1 O 0.1756 0.3511 0.3043
O2 O 0.3333 0.6667 0.9865
```

Principal peaks in the range 2θ = 5–70°, low angle first:
2θ 16.83, intensity 23
2θ 20.35, intensity 83
2θ 22.80, intensity 20
2θ 28.48, intensity 62
2θ 29.37, intensity 100
2θ 38.61, intensity 24
2θ 41.37, intensity 44
2θ 47.12, intensity 15
2θ 51.55, intensity 21
2θ 52.10, intensity 18
2θ 58.93, intensity 14
2θ 60.94, intensity 19